Starting from a PBE+U-relaxed structure, the powder XRD pattern of Li9Co7O16 was simulated for Cu Kα (λ = 1.5418 Å).
Lines closer than 0.1° are merged.

Largest 10 diffraction maxima, in order of rising 2θ, 10° ≤ 2θ ≤ 90°:
2θ (°)	Rel. int.	hkl
18.50	100	0 1 1
36.06	14	2 1 0
36.23	13	2 -1 2
36.55	13	0 1 -3
43.64	27	2 2 1
43.91	27	2 -2 1
44.29	26	0 0 4
48.07	13	0 3 -1
63.56	14	0 4 0
63.74	14	4 0 2

Structural model:
```
data_Li9Co7O16
_cell_length_a 5.8415
_cell_length_b 5.8576
_cell_length_c 8.6849
_cell_angle_alpha 89.11
_cell_angle_beta 70.38
_cell_angle_gamma 89.66
_space_group_name_H-M_alt 'P -1'
_space_group_IT_number 2
_space_group_name_Hall '-P 1'
loop_
_atom_site_label
_atom_site_fract_x
_atom_site_fract_y
_atom_site_fract_z
_atom_site_occupancy
Li1 0.0000 0.0000 0.0000 1
Li2 0.0000 0.5000 0.0000 1
Li3 0.1242 0.2471 0.2465 1
Li4 0.2501 0.0009 0.4995 1
Li5 0.3666 0.7533 0.7594 1
Li6 0.5000 0.5000 0.0000 1
Co1 0.1272 0.7560 0.2387 1
Co2 0.2490 0.5008 0.5000 1
Co3 0.3698 0.2444 0.7553 1
Co4 0.5000 0.0000 0.0000 1
O1 0.0066 0.7380 0.4963 1
O2 0.1368 0.4822 0.7483 1
O3 0.1437 0.0251 0.7457 1
O4 0.2581 0.7632 0.0118 1
O5 0.2757 0.2361 0.9805 1
O6 0.3867 0.5214 0.2583 1
O7 0.3929 0.9865 0.2380 1
O8 0.4871 0.2613 0.5189 1
```

***

Starting from a PBE+U-relaxed structure, the powder XRD pattern of Na2Mo3O13 was simulated for Cu Kα (λ = 1.5418 Å).
Lines closer than 0.1° are merged.

Largest 10 diffraction maxima, in order of rising 2θ, 10° ≤ 2θ ≤ 90°:
2θ (°)	Rel. int.	hkl
10.81	76	2 0 -1
12.23	60	2 0 0
24.61	33	4 0 0
26.11	70	4 0 -3
27.17	100	1 1 1
28.18	43	3 1 -1
28.75	70	1 1 -2
30.87	35	4 0 1
32.91	34	4 0 -4
47.69	32	0 2 0

Structural model:
```
data_Na2Mo3O13
_cell_length_a 17.0471
_cell_length_b 3.8140
_cell_length_c 10.9897
_cell_angle_alpha 90.00
_cell_angle_beta 121.90
_cell_angle_gamma 90.00
_space_group_name_H-M_alt 'C 1 m 1'
_space_group_IT_number 8
_space_group_name_Hall 'C -2y'
loop_
_atom_site_label
_atom_site_fract_x
_atom_site_fract_y
_atom_site_fract_z
_atom_site_occupancy
Na1 0.0000 0.0000 0.0000 1
Na2 0.1066 0.5000 0.5477 1
Mo1 0.2062 0.5000 0.2925 1
Mo2 0.2316 0.0000 0.0311 1
Mo3 0.4137 0.5000 0.2752 1
O1 0.0260 0.0000 0.4288 1
O2 0.0926 0.5000 0.1363 1
O3 0.1121 0.0000 0.9261 1
O4 0.1911 0.5000 0.4369 1
O5 0.2169 0.0000 0.2529 1
O6 0.2519 0.5000 0.0901 1
O7 0.2641 0.0000 0.9074 1
O8 0.3143 0.5000 0.7647 1
O9 0.3416 0.5000 0.3744 1
O10 0.3744 0.0000 0.2356 1
O11 0.3978 0.0000 0.8393 1
O12 0.4326 0.5000 0.1332 1
O13 0.4596 0.0000 0.5777 1
```

***

Starting from a PBE+U-relaxed structure, the powder XRD pattern of Nb3FeBi6O18 was simulated for Cu Kα (λ = 1.5418 Å).
Lines closer than 0.1° are merged.

Largest 10 diffraction maxima, in order of rising 2θ, 10° ≤ 2θ ≤ 90°:
2θ (°)	Rel. int.	hkl
13.66	29	0 0 2
23.04	20	-1 1 1
28.46	51	1 -1 2
28.64	100	1 1 2
28.73	49	-1 1 3
32.26	36	0 2 0
32.61	33	2 0 -1
34.59	26	0 0 5
46.52	33	2 2 -1
48.16	24	0 2 5

Structural model:
```
data_Nb3FeBi6O18
_cell_length_a 5.4927
_cell_length_b 5.5505
_cell_length_c 13.2389
_cell_angle_alpha 90.40
_cell_angle_beta 101.63
_cell_angle_gamma 90.12
_space_group_name_H-M_alt 'P 1'
_space_group_IT_number 1
_space_group_name_Hall 'P 1'
loop_
_atom_site_label
_atom_site_fract_x
_atom_site_fract_y
_atom_site_fract_z
_atom_site_occupancy
Nb1 0.0000 0.0000 0.0000 1
Nb2 0.1776 0.0108 0.3521 1
Nb3 0.5026 0.4993 0.0001 1
Fe1 0.6692 0.5069 0.3510 1
Bi1 0.0826 0.4520 0.1893 1
Bi2 0.3313 0.4529 0.5708 1
Bi3 0.3601 0.9634 0.7692 1
Bi4 0.6025 0.9477 0.1881 1
Bi5 0.7693 0.9308 0.5713 1
Bi6 0.9128 0.4501 0.7686 1
O1 0.0046 0.0467 0.1717 1
O2 0.0800 0.7226 0.6715 1
O3 0.0966 0.2191 0.6716 1
O4 0.2343 0.7400 0.0415 1
O5 0.3082 0.0115 0.4936 1
O6 0.3097 0.2382 0.0415 1
O7 0.3631 0.7407 0.3039 1
O8 0.3650 0.5154 0.8586 1
O9 0.4342 0.2329 0.3037 1
O10 0.5801 0.7222 0.6761 1
O11 0.5957 0.2190 0.6751 1
O12 0.6678 0.5477 0.1718 1
O13 0.6727 0.5340 0.4950 1
O14 0.6963 0.8255 0.9993 1
O15 0.8054 0.3247 0.9992 1
O16 0.8656 0.8302 0.3424 1
O17 0.9826 0.3278 0.3425 1
O18 0.9944 0.0176 0.8578 1
```

***

Starting from a PBE+U-relaxed structure, the powder XRD pattern of Fe2P3O13 was simulated for Cu Kα (λ = 1.5418 Å).
Lines closer than 0.1° are merged.

Largest 10 diffraction maxima, in order of rising 2θ, 10° ≤ 2θ ≤ 90°:
2θ (°)	Rel. int.	hkl
12.68	51	0 1 1
14.15	17	1 0 0
16.92	66	1 1 0
17.74	71	0 1 2
23.03	100	0 1 -2
25.51	33	0 2 2
28.55	50	2 0 0
31.48	17	-1 2 2
33.53	15	0 0 4
42.94	15	0 3 4

Structural model:
```
data_Fe2P3O13
_cell_length_a 6.3710
_cell_length_b 7.7578
_cell_length_c 11.1137
_cell_angle_alpha 74.14
_cell_angle_beta 86.19
_cell_angle_gamma 79.22
_space_group_name_H-M_alt 'P -1'
_space_group_IT_number 2
_space_group_name_Hall '-P 1'
loop_
_atom_site_label
_atom_site_fract_x
_atom_site_fract_y
_atom_site_fract_z
_atom_site_occupancy
Fe1 0.1940 0.1931 0.1121 1
Fe2 0.2418 0.2728 0.5937 1
P1 0.1193 0.4767 0.3001 1
P2 0.2363 0.7948 0.3395 1
P3 0.2784 0.9378 0.8827 1
O1 0.0452 0.7894 0.4309 1
O2 0.1137 0.4732 0.6572 1
O3 0.1137 0.8079 0.9016 1
O4 0.1327 0.4023 0.1866 1
O5 0.2102 0.6685 0.2493 1
O6 0.2318 0.9892 0.2593 1
O7 0.2346 0.3498 0.9372 1
O8 0.2560 0.0329 0.9897 1
O9 0.2593 0.0784 0.7561 1
O10 0.2605 0.3575 0.4082 1
O11 0.4177 0.9893 0.5308 1
O12 0.4495 0.7188 0.4045 1
O13 0.4929 0.7998 0.8919 1
```